Starting from a DFT-relaxed cell (GGA-PBE, Alexandria), the XRD peak list of AlCo2Mo was calculated for Cu Kα X-rays.
Intensities are scaled so that the largest is 100.

Main lines, in order of rising 2θ (2θ = 5–70°):
hkl  2θ (°)  I_rel
1 1 0  20.77  52
1 1 1  39.43  20
2 2 0  42.27  100
0 2 1  42.97  95
1 3 0  43.64  7
2 0 1  46.92  73
0 4 0  54.74  22
1 3 1  55.87  7
4 0 0  67.50  12
0 0 2  69.54  11

Structural model:
```
data_AlCo2Mo
_cell_length_a 5.5502
_cell_length_b 6.7081
_cell_length_c 2.7036
_cell_angle_alpha 90.00
_cell_angle_beta 90.00
_cell_angle_gamma 90.00
_symmetry_space_group_name_H-M 'C m m m'
_symmetry_Int_Tables_number 65
_symmetry_space_group_name_Hall '-C 2 2'
loop_
_atom_site_label
_atom_site_type_symbol
_atom_site_fract_x
_atom_site_fract_y
_atom_site_fract_z
Al1 Al 0.0000 0.0000 0.0000
Co1 Co 0.2500 0.2500 0.5000
Mo1 Mo 0.0000 0.5000 0.0000
```